[1]
Structure and theoretical powder diffraction line list of Cu2ReGe (the PBE geometry in Alexandria; Cu Kα (λ = 1.5418 Å)).
No peak broadening, texture or thermal motion is included.

Cell and atoms:
```
Cu2ReGe
1.0
3.5680 0.0000 0.0000
0.0000 3.5680 0.0000
0.0000 0.0000 18.6825
Cu Re Ge
8 4 4
Direct
0.2456 0.2500 0.1250
0.2500 0.7456 0.3750
0.2500 0.7544 0.8750
0.2544 0.2500 0.6250
0.7456 0.7500 0.6250
0.7500 0.2456 0.8750
0.7500 0.2544 0.3750
0.7544 0.7500 0.1250
0.0000 0.0000 0.0000
0.0000 0.5000 0.2500
0.5000 0.0000 0.7500
0.5000 0.5000 0.5000
0.0000 0.0000 0.5000
0.0000 0.5000 0.7500
0.5000 0.0000 0.2500
0.5000 0.5000 0.0000
```

Principal peaks in the range 2θ from 10° to 90°, in order of rising 2θ:
two_theta	I_rel
19.00	21.6
25.41	18.4
28.84	12.1
36.90	100.0
38.55	40.6
46.32	52.4
55.11	56.3
61.79	21.8
75.34	10.8
82.18	17.2
86.98	17.0
87.99	14.8

---

[2]
Structure and theoretical powder diffraction line list of Tb2CuGe4Rh3 (the PBE geometry in Alexandria; Cu Kα (λ = 1.5418 Å)).
No peak broadening, texture or thermal motion is included.

Cell and atoms:
```
Tb2CuGe4Rh3
1.0
4.2195 0.0000 0.0000
0.0000 4.2195 0.0000
0.0000 0.0000 10.0962
Tb Cu Ge Rh
2 1 4 3
Direct
0.0000 0.5000 0.2455
0.5000 0.0000 0.7545
0.0000 0.0000 0.5000
0.0000 0.0000 0.0000
0.0000 0.5000 0.6314
0.5000 0.0000 0.3686
0.5000 0.5000 0.0000
0.0000 0.5000 0.8714
0.5000 0.0000 0.1286
0.5000 0.5000 0.5000
```

Principal peaks in the range 2θ from 10° to 90°, in order of rising 2θ:
two_theta	I_rel
29.95	21.1
34.08	73.0
34.93	100.0
42.87	64.6
47.16	13.2
50.08	29.8
55.86	35.2
62.23	21.0
63.47	12.9
68.00	23.6
73.40	22.3
88.44	9.8

---

[3]
Structure and theoretical powder diffraction line list of CuTcGeRu (the PBE geometry in Alexandria; Cu Kα (λ = 1.5418 Å)).
No peak broadening, texture or thermal motion is included.

Cell and atoms:
```
CuTcGeRu
1.0
6.0171 0.0000 0.0000
0.0000 6.0171 0.0000
0.0000 0.0000 6.0171
Cu Tc Ge Ru
4 4 4 4
Direct
0.0000 0.0000 0.0000
0.0000 0.5000 0.5000
0.5000 0.0000 0.5000
0.5000 0.5000 0.0000
0.2500 0.2500 0.7500
0.2500 0.7500 0.2500
0.7500 0.2500 0.2500
0.7500 0.7500 0.7500
0.0000 0.0000 0.5000
0.0000 0.5000 0.0000
0.5000 0.0000 0.0000
0.5000 0.5000 0.5000
0.2500 0.2500 0.2500
0.2500 0.7500 0.7500
0.7500 0.2500 0.7500
0.7500 0.7500 0.2500
```

Principal peaks in the range 2θ from 10° to 90°, in order of rising 2θ:
two_theta	I_rel
29.69	3.9
42.49	100.0
52.70	1.0
61.66	16.0
69.92	1.4
77.76	31.8